GdNi12B6: computed powder diffraction line list (Cu Kα, 1.54184 Å), based on a DFT-relaxed cell (PBE, OQMD).
Lines closer than 0.1° are merged.

Principal peaks in the range 5 to 70 degrees two-theta, by angle:
| 2θ (°) | Rel. int. |
| --- | --- |
| 32.6 | 442 |
| 41.3 | 1000 |
| 46.7 | 137 |
| 49.7 | 149 |
| 58.2 | 128 |
| 61.6 | 125 |

Atomic structure:
a b c (Å): 6.0216 6.0216 6.0216
angles (deg): 104.41 104.41 104.41
Sites, in units of the cell vectors:
Gd (0.0000, 0.0000, 0.0000)
Ni (0.1304, 0.5000, 0.8696)
Ni (0.1304, 0.8696, 0.5000)
Ni (0.1866, 0.4539, 0.4539)
Ni (0.4539, 0.1866, 0.4539)
Ni (0.4539, 0.4539, 0.1866)
Ni (0.5000, 0.1304, 0.8696)
Ni (0.5000, 0.8696, 0.1304)
Ni (0.5461, 0.5461, 0.8134)
Ni (0.5461, 0.8134, 0.5461)
Ni (0.8134, 0.5461, 0.5461)
Ni (0.8696, 0.1304, 0.5000)
Ni (0.8696, 0.5000, 0.1304)
B (0.2354, 0.2354, 0.6700)
B (0.2354, 0.6700, 0.2354)
B (0.3300, 0.7646, 0.7646)
B (0.6700, 0.2354, 0.2354)
B (0.7646, 0.3300, 0.7646)
B (0.7646, 0.7646, 0.3300)

***

K2PdS8O26: computed powder diffraction line list (Cu Kα, 1.54184 Å), based on a DFT-relaxed cell (PBE, OQMD).
Lines closer than 0.1° are merged.

Principal peaks in the range 5 to 70 degrees two-theta, by angle:
| 2θ (°) | Rel. int. |
| --- | --- |
| 10.4 | 453 |
| 13.1 | 342 |
| 20.1 | 322 |
| 20.5 | 453 |
| 26.6 | 497 |
| 27.4 | 1000 |

Atomic structure:
a b c (Å): 7.2300 8.4205 8.9159
angles (deg): 73.32 88.42 71.35
Sites, in units of the cell vectors:
K (0.1315, 0.2277, 0.3845)
K (0.8685, 0.7723, 0.6155)
Pd (0.5000, 0.0000, 0.0000)
S (0.1270, 0.6845, 0.0125)
S (0.2119, 0.7364, 0.3077)
S (0.3309, 0.8611, 0.7728)
S (0.3666, 0.3559, 0.7207)
S (0.6334, 0.6441, 0.2793)
S (0.6691, 0.1389, 0.2272)
S (0.7881, 0.2636, 0.6923)
S (0.8730, 0.3155, 0.9875)
O (0.0466, 0.2113, 0.0857)
O (0.0794, 0.6487, 0.3817)
O (0.1503, 0.8090, 0.1192)
O (0.1553, 0.5119, 0.1113)
O (0.1770, 0.9073, 0.6546)
O (0.2299, 0.8861, 0.3413)
O (0.2324, 0.5293, 0.6938)
O (0.2863, 0.9918, 0.8628)
O (0.3158, 0.6760, 0.9173)
O (0.3593, 0.2550, 0.6179)
O (0.4018, 0.2630, 0.8920)
O (0.4158, 0.5902, 0.3207)
O (0.4702, 0.2025, 0.2621)
O (0.5298, 0.7975, 0.7379)
O (0.5842, 0.4098, 0.6793)
O (0.5982, 0.7370, 0.1080)
O (0.6407, 0.7450, 0.3821)
O (0.6842, 0.3240, 0.0827)
O (0.7137, 0.0082, 0.1372)
O (0.7676, 0.4707, 0.3062)
O (0.7701, 0.1139, 0.6587)
O (0.8230, 0.0927, 0.3454)
O (0.8447, 0.4881, 0.8887)
O (0.8497, 0.1910, 0.8808)
O (0.9206, 0.3513, 0.6183)
O (0.9534, 0.7887, 0.9143)

***

Na3Ag: computed powder diffraction line list (Cu Kα, 1.54184 Å), based on a DFT-relaxed cell (PBE, OQMD).
Lines closer than 0.1° are merged.

Principal peaks in the range 5 to 70 degrees two-theta, by angle:
| 2θ (°) | Rel. int. |
| --- | --- |
| 19.6 | 391 |
| 20.2 | 299 |
| 22.5 | 1000 |
| 35.5 | 737 |
| 36.1 | 877 |
| 40.8 | 396 |

Atomic structure:
a b c (Å): 8.7706 8.7706 9.0764
angles (deg): 90.00 90.00 120.00
Sites, in units of the cell vectors:
Na (0.0000, 0.0000, 0.0000)
Na (0.0000, 0.0000, 0.5000)
Na (0.0000, 0.2768, 0.7493)
Na (0.0000, 0.3790, 0.0878)
Na (0.0000, 0.6210, 0.5878)
Na (0.0000, 0.7232, 0.2493)
Na (0.2768, 0.0000, 0.7493)
Na (0.2768, 0.2768, 0.2493)
Na (0.3333, 0.6667, 0.3516)
Na (0.3333, 0.6667, 0.8516)
Na (0.3790, 0.0000, 0.0878)
Na (0.3790, 0.3790, 0.5878)
Na (0.6210, 0.0000, 0.5878)
Na (0.6210, 0.6210, 0.0878)
Na (0.6667, 0.3333, 0.3516)
Na (0.6667, 0.3333, 0.8516)
Na (0.7232, 0.0000, 0.2493)
Na (0.7232, 0.7232, 0.7493)
Ag (0.0000, 0.3274, 0.4194)
Ag (0.0000, 0.6726, 0.9194)
Ag (0.3274, 0.0000, 0.4194)
Ag (0.3274, 0.3274, 0.9194)
Ag (0.6726, 0.0000, 0.9194)
Ag (0.6726, 0.6726, 0.4194)

***

SrLiSn4Pd2: computed powder diffraction line list (Cu Kα, 1.54184 Å), based on a DFT-relaxed cell (PBE, OQMD).
Lines closer than 0.1° are merged.

Principal peaks in the range 5 to 70 degrees two-theta, by angle:
| 2θ (°) | Rel. int. |
| --- | --- |
| 15.9 | 492 |
| 31.9 | 1000 |
| 33.5 | 482 |
| 39.5 | 884 |
| 40.3 | 531 |
| 41.8 | 627 |

Atomic structure:
a b c (Å): 7.5899 6.0048 6.0048
angles (deg): 43.78 90.00 90.00
Sites, in units of the cell vectors:
Sr (0.0000, 0.0000, 0.0000)
Li (0.5000, 0.8662, 0.8662)
Sn (0.2128, 0.2936, 0.2936)
Sn (0.3026, 0.5794, 0.5794)
Sn (0.6974, 0.5794, 0.5794)
Sn (0.7872, 0.2936, 0.2936)
Pd (0.0000, 0.7242, 0.7242)
Pd (0.5000, 0.1377, 0.1377)

***

TbGd2Cu4Sn2Ge2: computed powder diffraction line list (Cu Kα, 1.54184 Å), based on a DFT-relaxed cell (PBE, OQMD).
Lines closer than 0.1° are merged.

Principal peaks in the range 5 to 70 degrees two-theta, by angle:
| 2θ (°) | Rel. int. |
| --- | --- |
| 33.6 | 296 |
| 34.2 | 759 |
| 34.7 | 1000 |
| 41.2 | 354 |
| 44.6 | 168 |
| 54.2 | 154 |

Atomic structure:
a b c (Å): 8.3040 8.3040 8.3040
angles (deg): 149.43 132.31 57.71
Sites, in units of the cell vectors:
Tb (0.0000, 0.0000, 0.0000)
Gd (0.3744, 0.8744, 0.5000)
Gd (0.6256, 0.1256, 0.5000)
Cu (0.0299, 0.3406, 0.6893)
Cu (0.3487, 0.6594, 0.6893)
Cu (0.6513, 0.3406, 0.3107)
Cu (0.9701, 0.6594, 0.3107)
Sn (0.2174, 0.2174, 0.0000)
Sn (0.7826, 0.7826, 0.0000)
Ge (0.3091, 0.5000, 0.8091)
Ge (0.6909, 0.5000, 0.1909)

***

K2NpSb2: computed powder diffraction line list (Cu Kα, 1.54184 Å), based on a DFT-relaxed cell (PBE, OQMD).
Lines closer than 0.1° are merged.

Principal peaks in the range 5 to 70 degrees two-theta, by angle:
| 2θ (°) | Rel. int. |
| --- | --- |
| 9.4 | 780 |
| 13.0 | 1000 |
| 18.1 | 295 |
| 30.6 | 328 |
| 31.0 | 456 |
| 36.8 | 309 |

Atomic structure:
a b c (Å): 10.0983 10.0983 5.7227
angles (deg): 90.00 90.00 137.66
Sites, in units of the cell vectors:
K (0.0853, 0.9147, 0.7500)
K (0.2828, 0.7172, 0.2500)
K (0.7172, 0.2828, 0.7500)
K (0.9147, 0.0853, 0.2500)
Np (0.5000, 0.5000, 0.0000)
Np (0.5000, 0.5000, 0.5000)
Sb (0.1663, 0.4124, 0.7500)
Sb (0.4124, 0.1663, 0.2500)
Sb (0.5876, 0.8337, 0.7500)
Sb (0.8337, 0.5876, 0.2500)